# 1
This entry pairs a crystal structure of Na2TiGeO5 with its computed powder XRD pattern. Radiation: Cu Kα (λ = 1.5418 Å). Structure: a PBE-relaxed structure.
No peak broadening, texture or thermal motion is included.

Principal peaks in the range 10 to 80 degrees two-theta, by angle:
2θ/deg	I (rel.)
16.9	37
21.5	9
25.3	9
26.5	25
31.6	100
37.9	18
52.0	27
54.6	19
59.7	10
64.5	22

Crystal structure
Cell: 6.719 6.719 5.238 Å, 90.00 90.00 90.00°
Fractional coordinates of all 18 atoms:
Na1 0.000 0.000 0.000
Na2 0.000 0.500 0.000
Na3 0.500 0.000 0.000
Na4 0.500 0.500 0.000
Ti1 0.250 0.250 0.428
Ti2 0.750 0.750 0.572
Ge1 0.250 0.750 0.500
Ge2 0.750 0.250 0.500
O1 0.034 0.750 0.694
O2 0.250 0.250 0.756
O3 0.250 0.534 0.306
O4 0.250 0.966 0.306
O5 0.466 0.750 0.694
O6 0.534 0.250 0.306
O7 0.750 0.034 0.694
O8 0.750 0.466 0.694
O9 0.750 0.750 0.244
O10 0.966 0.250 0.306

***

# 2
This entry pairs a crystal structure of NaYGeO4 with its computed powder XRD pattern. Radiation: Cu Kα (λ = 1.5418 Å). Structure: a PBE-relaxed structure.
No peak broadening, texture or thermal motion is included.

Principal peaks in the range 10 to 80 degrees two-theta, by angle:
2θ/deg	I (rel.)
18.3	36
20.6	24
22.9	31
27.3	41
28.6	28
31.8	100
33.1	47
34.0	17
46.7	22
51.2	26

Crystal structure
Cell: 11.532 6.527 5.335 Å, 90.00 90.00 90.00°
Fractional coordinates of all 28 atoms:
Na1 0.000 0.000 0.000
Na2 0.000 0.500 0.000
Na3 0.500 0.000 0.500
Na4 0.500 0.500 0.500
Y1 0.222 0.250 0.496
Y2 0.278 0.750 0.996
Y3 0.722 0.250 0.004
Y4 0.778 0.750 0.504
Ge1 0.097 0.750 0.554
Ge2 0.403 0.250 0.054
Ge3 0.597 0.750 0.946
Ge4 0.903 0.250 0.446
O1 0.045 0.250 0.326
O2 0.111 0.750 0.228
O3 0.174 0.543 0.708
O4 0.174 0.957 0.708
O5 0.326 0.043 0.208
O6 0.326 0.457 0.208
O7 0.389 0.250 0.728
O8 0.455 0.750 0.826
O9 0.545 0.250 0.174
O10 0.611 0.750 0.272
O11 0.674 0.543 0.792
O12 0.674 0.957 0.792
O13 0.826 0.043 0.292
O14 0.826 0.457 0.292
O15 0.889 0.250 0.772
O16 0.955 0.750 0.674

***

# 3
This entry pairs a crystal structure of Na4Zr2Ge3O12 with its computed powder XRD pattern. Radiation: Cu Kα (λ = 1.5418 Å). Structure: a PBE-relaxed structure.
No peak broadening, texture or thermal motion is included.

Principal peaks in the range 10 to 80 degrees two-theta, by angle:
2θ/deg	I (rel.)
18.5	18
18.9	46
21.9	87
26.6	33
28.7	31
30.0	100
32.3	84
32.5	18
44.7	34
56.2	26

Crystal structure
Cell: 9.388 9.388 9.388 Å, 61.54 61.54 61.54°
Fractional coordinates of all 42 atoms:
Na1 0.000 0.000 0.000
Na2 0.131 0.375 0.750
Na3 0.250 0.869 0.625
Na4 0.375 0.750 0.131
Na5 0.500 0.500 0.500
Na6 0.625 0.250 0.869
Na7 0.750 0.131 0.375
Na8 0.869 0.625 0.250
Zr1 0.144 0.144 0.144
Zr2 0.356 0.356 0.356
Zr3 0.644 0.644 0.644
Zr4 0.856 0.856 0.856
Ge1 0.045 0.750 0.455
Ge2 0.250 0.545 0.955
Ge3 0.455 0.045 0.750
Ge4 0.545 0.955 0.250
Ge5 0.750 0.455 0.045
Ge6 0.955 0.250 0.545
O1 0.011 0.791 0.635
O2 0.056 0.926 0.264
O3 0.074 0.736 0.944
O4 0.131 0.301 0.509
O5 0.209 0.365 0.989
O6 0.242 0.582 0.432
O7 0.264 0.056 0.926
O8 0.301 0.509 0.131
O9 0.365 0.989 0.209
O10 0.418 0.568 0.758
O11 0.432 0.242 0.582
O12 0.491 0.869 0.699
O13 0.509 0.131 0.301
O14 0.568 0.758 0.418
O15 0.582 0.432 0.242
O16 0.635 0.011 0.791
O17 0.699 0.491 0.869
O18 0.736 0.944 0.074
O19 0.758 0.418 0.568
O20 0.791 0.635 0.011
O21 0.869 0.699 0.491
O22 0.926 0.264 0.056
O23 0.944 0.074 0.736
O24 0.989 0.209 0.365